# 1
Structure and computed PXRD pattern of Nd2AlNi2 (a structure optimized by DFT (GGA-PBE); Cu Kα, 1.54184 Å).
Neutral-atom scattering factors, no anomalous dispersion.

Crystal structure
a b c (Å): 5.5600 5.5600 5.5600
angles (deg): 135.28 120.57 77.34
Sites, in units of the cell vectors:
Nd  0.2048  0.2048  0.0000
Nd  0.7952  0.7952  0.0000
Al  0.5000  0.0000  0.5000
Ni  0.2327  0.5000  0.7327
Ni  0.7673  0.5000  0.2673

Largest 8 diffraction maxima, by angle, 5 to 70 degrees two-theta:
two_theta	I/Imax
26.6	70
33.8	100
35.0	30
37.7	47
38.7	50
40.4	41
42.8	32
67.5	31

# 2
Structure and computed PXRD pattern of Lu2CuGe4O12 (a structure optimized by DFT (GGA-PBE); Cu Kα, 1.54184 Å).
Neutral-atom scattering factors, no anomalous dispersion.

Crystal structure
a b c (Å): 4.9782 7.1470 7.9251
angles (deg): 66.12 86.96 77.55
Sites, in units of the cell vectors:
Lu  0.0382  0.2707  0.4510
Lu  0.9618  0.7293  0.5490
Cu  0.0000  0.5000  0.0000
Ge  0.4195  0.8794  0.7914
Ge  0.4553  0.6637  0.2247
Ge  0.5447  0.3363  0.7753
Ge  0.5805  0.1206  0.2086
O  0.2087  0.9296  0.6023
O  0.2197  0.5641  0.3930
O  0.2482  0.5117  0.7922
O  0.2541  0.2775  0.2005
O  0.2641  0.7926  0.0089
O  0.4180  0.1551  0.7139
O  0.5820  0.8449  0.2861
O  0.7359  0.2074  0.9911
O  0.7459  0.7225  0.7995
O  0.7518  0.4883  0.2078
O  0.7803  0.4359  0.6070
O  0.7913  0.0704  0.3977

Largest 8 diffraction maxima, by angle, 5 to 70 degrees two-theta:
two_theta	I/Imax
12.2	51
21.6	39
22.4	28
25.2	44
28.1	100
30.2	48
31.4	63
35.0	31

Copy entry 2 word for word.
Structure and computed PXRD pattern of Lu2CuGe4O12 (a structure optimized by DFT (GGA-PBE); Cu Kα, 1.54184 Å).
Neutral-atom scattering factors, no anomalous dispersion.

Crystal structure
a b c (Å): 4.9782 7.1470 7.9251
angles (deg): 66.12 86.96 77.55
Sites, in units of the cell vectors:
Lu  0.0382  0.2707  0.4510
Lu  0.9618  0.7293  0.5490
Cu  0.0000  0.5000  0.0000
Ge  0.4195  0.8794  0.7914
Ge  0.4553  0.6637  0.2247
Ge  0.5447  0.3363  0.7753
Ge  0.5805  0.1206  0.2086
O  0.2087  0.9296  0.6023
O  0.2197  0.5641  0.3930
O  0.2482  0.5117  0.7922
O  0.2541  0.2775  0.2005
O  0.2641  0.7926  0.0089
O  0.4180  0.1551  0.7139
O  0.5820  0.8449  0.2861
O  0.7359  0.2074  0.9911
O  0.7459  0.7225  0.7995
O  0.7518  0.4883  0.2078
O  0.7803  0.4359  0.6070
O  0.7913  0.0704  0.3977

Largest 8 diffraction maxima, by angle, 5 to 70 degrees two-theta:
two_theta	I/Imax
12.2	51
21.6	39
22.4	28
25.2	44
28.1	100
30.2	48
31.4	63
35.0	31